# 1
The following is a theoretical X-ray powder pattern of TiP2Cl8O3. It was derived from DFT lattice parameters and positions (GGA-PBE), using Cu Kα (weighted mean of Kα1 and Kα2).
Lines closer than 0.1° are merged.

Most intense lines, 10° ≤ 2θ ≤ 80°, sorted by position:
10.0°, I = 59.0; 11.3°, I = 71.3; 13.9°, I = 81.1; 21.2°, I = 40.7; 21.5°, I = 53.1; 23.4°, I = 100.0; 25.9°, I = 47.9; 29.6°, I = 61.5; 30.4°, I = 50.0; 34.5°, I = 64.2

Structure:
Unit cell a=9.034 b=16.017 c=12.946 alpha=90.00 beta=125.44 gamma=90.00
Element x y z (fractional)
Ti  0.211  0.133  0.136
Ti  0.211  0.367  0.636
Ti  0.789  0.633  0.364
Ti  0.789  0.867  0.864
P  0.012  0.570  0.216
P  0.012  0.930  0.716
P  0.221  0.583  0.621
P  0.221  0.917  0.121
P  0.779  0.083  0.879
P  0.779  0.417  0.379
P  0.988  0.070  0.284
P  0.988  0.430  0.784
Cl  0.111  0.675  0.199
Cl  0.111  0.825  0.699
Cl  0.116  0.242  0.655
Cl  0.116  0.258  0.155
Cl  0.181  0.034  0.460
Cl  0.181  0.466  0.960
Cl  0.209  0.014  0.782
Cl  0.209  0.486  0.282
Cl  0.324  0.615  0.800
Cl  0.324  0.885  0.300
Cl  0.350  0.178  0.050
Cl  0.350  0.322  0.550
Cl  0.380  0.644  0.584
Cl  0.380  0.856  0.084
Cl  0.458  0.126  0.339
Cl  0.458  0.374  0.839
Cl  0.542  0.626  0.161
Cl  0.542  0.874  0.661
Cl  0.620  0.144  0.916
Cl  0.620  0.356  0.416
Cl  0.650  0.678  0.450
Cl  0.650  0.822  0.950
Cl  0.676  0.115  0.700
Cl  0.676  0.385  0.200
Cl  0.791  0.514  0.718
Cl  0.791  0.986  0.218
Cl  0.819  0.534  0.040
Cl  0.819  0.966  0.540
Cl  0.884  0.742  0.845
Cl  0.884  0.758  0.345
Cl  0.889  0.175  0.301
Cl  0.889  0.325  0.801
O  0.031  0.617  0.538
O  0.031  0.883  0.038
O  0.052  0.077  0.201
O  0.052  0.423  0.701
O  0.248  0.010  0.114
O  0.248  0.490  0.614
O  0.752  0.510  0.386
O  0.752  0.990  0.886
O  0.948  0.577  0.299
O  0.948  0.923  0.799
O  0.969  0.117  0.962
O  0.969  0.383  0.462

=====

# 2
The following is a theoretical X-ray powder pattern of Pb3Cl2O2. It was derived from DFT lattice parameters and positions (GGA-PBE), using Cu Kα (weighted mean of Kα1 and Kα2).
Lines closer than 0.1° are merged.

Most intense lines, 10° ≤ 2θ ≤ 80°, sorted by position:
11.6°, I = 67.1; 22.8°, I = 59.9; 24.6°, I = 79.9; 28.2°, I = 61.6; 28.6°, I = 66.6; 30.1°, I = 78.3; 31.2°, I = 86.4; 33.2°, I = 100.0; 42.0°, I = 65.8; 54.1°, I = 44.1

Structure:
Unit cell a=12.125 b=5.946 c=9.815 alpha=90.00 beta=90.00 gamma=90.00
Element x y z (fractional)
Pb  0.063  0.250  0.207
Pb  0.081  0.250  0.579
Pb  0.215  0.750  0.364
Pb  0.285  0.250  0.864
Pb  0.419  0.750  0.079
Pb  0.437  0.750  0.707
Pb  0.563  0.250  0.293
Pb  0.581  0.250  0.921
Pb  0.715  0.750  0.136
Pb  0.785  0.250  0.636
Pb  0.919  0.750  0.421
Pb  0.937  0.750  0.793
Cl  0.136  0.750  0.086
Cl  0.192  0.750  0.691
Cl  0.308  0.250  0.191
Cl  0.364  0.250  0.586
Cl  0.636  0.750  0.414
Cl  0.692  0.750  0.809
Cl  0.808  0.250  0.309
Cl  0.864  0.250  0.914
O  0.079  0.005  0.387
O  0.079  0.495  0.387
O  0.421  0.505  0.887
O  0.421  0.995  0.887
O  0.579  0.005  0.113
O  0.579  0.495  0.113
O  0.921  0.505  0.613
O  0.921  0.995  0.613

=====

# 3
The following is a theoretical X-ray powder pattern of Pb7Cl2O8. It was derived from DFT lattice parameters and positions (GGA-PBE), using Cu Kα (weighted mean of Kα1 and Kα2).
Lines closer than 0.1° are merged.

Most intense lines, 10° ≤ 2θ ≤ 80°, sorted by position:
13.9°, I = 92.7; 24.2°, I = 60.1; 25.2°, I = 46.0; 26.3°, I = 40.8; 26.6°, I = 29.5; 28.5°, I = 94.1; 30.5°, I = 100.0; 33.4°, I = 26.6; 33.9°, I = 25.5; 41.4°, I = 37.3

Structure:
Unit cell a=5.928 b=20.136 c=7.293 alpha=90.00 beta=113.15 gamma=90.00
Element x y z (fractional)
Pb  0.003  0.000  0.348
Pb  0.100  0.282  0.491
Pb  0.103  0.671  0.949
Pb  0.258  0.861  0.202
Pb  0.330  0.002  0.999
Pb  0.464  0.632  0.655
Pb  0.485  0.300  0.181
Pb  0.515  0.800  0.819
Pb  0.536  0.132  0.345
Pb  0.670  0.502  0.001
Pb  0.742  0.361  0.798
Pb  0.897  0.171  0.051
Pb  0.900  0.782  0.509
Pb  0.997  0.500  0.652
Cl  0.264  0.200  0.821
Cl  0.299  0.569  0.327
Cl  0.701  0.069  0.673
Cl  0.736  0.700  0.179
O  0.009  0.942  0.089
O  0.188  0.797  0.957
O  0.210  0.073  0.201
O  0.223  0.711  0.685
O  0.254  0.830  0.478
O  0.286  0.213  0.300
O  0.311  0.572  0.824
O  0.445  0.425  0.769
O  0.555  0.925  0.231
O  0.689  0.072  0.176
O  0.714  0.713  0.700
O  0.746  0.330  0.522
O  0.777  0.211  0.315
O  0.790  0.573  0.799
O  0.812  0.297  0.043
O  0.991  0.442  0.911